(1)
Starting from the GGA-PBE geometry in Alexandria, the X-ray powder pattern of CdFe2I6Cl2 was simulated for CuKα.

The 6 most intense peaks (2θ = 10–90°), in order of rising 2θ:
d (Å)	I_rel
5.374	31
3.449	100
2.965	68
2.475	24
2.120	39
2.074	44

Structure:
a b c (Å): 7.3431 7.3431 10.0530
angles (deg): 90.00 90.00 120.00
Sites, in units of the cell vectors:
Cd (0.0000, 0.0000, 0.0000)
Fe (0.3333, 0.6667, 0.7393)
Fe (0.6667, 0.3333, 0.2607)
I (0.0007, 0.3330, 0.1794)
I (0.3323, 0.9993, 0.1794)
I (0.3330, 0.3323, 0.8206)
I (0.6670, 0.6677, 0.1794)
I (0.6677, 0.0007, 0.8206)
I (0.9993, 0.6670, 0.8206)
Cl (0.3333, 0.6667, 0.5256)
Cl (0.6667, 0.3333, 0.4744)

---

(2)
Starting from the GGA-PBE geometry in Alexandria, the X-ray powder pattern of Li5Bi2 was simulated for CuKα.

The 6 most intense peaks (2θ = 10–90°), in order of rising 2θ:
d (Å)	I_rel
3.815	100
3.641	22
3.325	18
2.455	18
2.134	22
2.002	19

Structure:
a b c (Å): 8.1648 8.1648 8.1648
angles (deg): 127.03 70.93 136.43
Sites, in units of the cell vectors:
Li (0.0128, 0.2500, 0.7628)
Li (0.0904, 0.6582, 0.7486)
Li (0.2500, 0.2500, 0.0000)
Li (0.4096, 0.1582, 0.5677)
Li (0.4872, 0.2500, 0.2372)
Li (0.5128, 0.7500, 0.7628)
Li (0.5904, 0.8418, 0.4323)
Li (0.7500, 0.7500, 0.0000)
Li (0.9096, 0.3418, 0.2514)
Li (0.9872, 0.7500, 0.2372)
Bi (0.1250, 0.2611, 0.3861)
Bi (0.3750, 0.7611, 0.1361)
Bi (0.6250, 0.2389, 0.8639)
Bi (0.8750, 0.7389, 0.6139)